No. 1
Tm2Ga9Co3: theoretical powder XRD pattern (CuKα), based on a DFT-relaxed cell (GGA-PBE, the Materials Project).
Lines closer than 0.1° are merged.

Cell and atoms:
```
28
Lattice="6.369 -3.685 0.000 6.369 3.685 0.000 0.000 0.000 9.374" Properties=species:S:1:pos:R:3 pbc="T T T"
Tm 4.279 2.452 7.031
Tm 8.459 2.452 7.031
Tm 4.279 -2.452 2.344
Tm 8.459 -2.452 2.344
Ga 2.129 1.229 5.370
Ga 2.129 1.229 8.691
Ga 10.608 -1.229 0.683
Ga 10.608 -1.229 4.004
Ga 6.369 2.795 2.344
Ga 2.129 -1.229 0.683
Ga 2.129 -1.229 4.004
Ga 5.000 0.421 2.344
Ga 6.369 1.220 5.234
Ga 6.369 1.220 8.827
Ga 5.000 -0.421 7.031
Ga 7.737 0.421 2.344
Ga 6.369 -1.220 0.547
Ga 6.369 -1.220 4.140
Ga 7.737 -0.421 7.031
Ga 10.608 1.229 5.370
Ga 10.608 1.229 8.691
Ga 6.369 -2.795 7.031
Co 0.000 0.000 0.000
Co 0.000 0.000 4.687
Co 4.180 0.000 0.000
Co 4.180 0.000 4.687
Co 8.557 0.000 0.000
Co 8.557 0.000 4.687
```

Most intense lines, 15° ≤ 2θ ≤ 90°, in order of rising 2θ:
Position (°2θ), Rel. int.
26.01, 14.2
37.76, 100.0
38.41, 16.0
38.58, 18.4
42.16, 17.9
42.54, 68.6
58.17, 16.4
74.64, 21.6

---

No. 2
UGa5Co: theoretical powder XRD pattern (CuKα), based on a DFT-relaxed cell (GGA-PBE, the Materials Project).
Lines closer than 0.1° are merged.

Cell and atoms:
```
7
Lattice="4.244 0.000 0.000 0.000 4.244 0.000 0.000 0.000 6.698" Properties=species:S:1:pos:R:3 pbc="T T T"
U 0.000 0.000 0.000
Ga 0.000 2.122 2.051
Ga 0.000 2.122 4.647
Ga 2.122 0.000 2.051
Ga 2.122 0.000 4.647
Ga 2.122 2.122 0.000
Co 0.000 0.000 3.349
```

Most intense lines, 15° ≤ 2θ ≤ 90°, in order of rising 2θ:
Position (°2θ), Rel. int.
20.93, 30.3
32.70, 50.5
34.10, 18.2
40.36, 100.0
42.61, 45.6
60.16, 18.8
71.76, 18.6
76.47, 35.0

---

No. 3
UGaCo: theoretical powder XRD pattern (CuKα), based on a DFT-relaxed cell (GGA-PBE, the Materials Project).
Lines closer than 0.1° are merged.

Cell and atoms:
```
9
Lattice="3.963 0.000 0.000 0.000 5.719 3.312 0.000 -5.719 3.312" Properties=species:S:1:pos:R:3 pbc="T T T"
U 0.000 0.000 0.000
U 0.000 -2.402 4.179
U 0.000 2.402 4.179
Ga 1.982 -1.366 1.998
Ga 1.982 1.366 1.998
Ga 1.982 0.000 4.351
Co 0.000 0.000 2.781
Co 1.982 -3.807 2.775
Co 1.982 3.807 2.775
```

Most intense lines, 15° ≤ 2θ ≤ 90°, in order of rising 2θ:
Position (°2θ), Rel. int.
26.96, 25.5
31.23, 29.5
35.35, 100.0
38.80, 93.0
41.70, 28.0
45.79, 25.6
63.01, 26.9
63.66, 24.4

---

No. 4
Y5GaCo5: theoretical powder XRD pattern (CuKα), based on a DFT-relaxed cell (GGA-PBE, the Materials Project).
Lines closer than 0.1° are merged.

Cell and atoms:
```
22
Lattice="2.031 -5.091 0.000 2.031 5.091 0.000 0.000 0.000 20.608" Properties=species:S:1:pos:R:3 pbc="T T T"
Y 2.031 -5.090 3.231
Y 2.031 -5.090 7.073
Y 2.031 5.090 13.535
Y 2.031 5.090 17.377
Y 2.031 2.170 15.456
Y 2.031 2.137 11.657
Y 2.031 2.137 19.254
Y 2.031 -2.137 1.353
Y 2.031 -2.137 8.950
Y 2.031 -2.170 5.152
Ga 0.000 0.000 0.000
Ga 0.000 0.000 10.304
Co 2.031 2.052 3.172
Co 2.031 2.052 7.132
Co 2.031 0.892 5.152
Co 2.031 0.819 1.204
Co 2.031 0.819 9.100
Co 2.031 -0.819 11.508
Co 2.031 -0.819 19.404
Co 2.031 -0.892 15.456
Co 2.031 -2.052 13.476
Co 2.031 -2.052 17.435
```

Most intense lines, 15° ≤ 2θ ≤ 90°, in order of rising 2θ:
Position (°2θ), Rel. int.
31.42, 37.8
32.16, 61.5
34.43, 100.0
35.34, 95.7
40.99, 83.7
41.70, 46.9
43.94, 28.3
44.61, 58.2

---

No. 5
Y2Ga2Co15: theoretical powder XRD pattern (CuKα), based on a DFT-relaxed cell (GGA-PBE, the Materials Project).
Lines closer than 0.1° are merged.

Cell and atoms:
```
38
Lattice="4.177 -7.251 0.000 4.177 7.251 0.000 0.000 0.000 8.195" Properties=species:S:1:pos:R:3 pbc="T T T"
Y 4.177 -7.249 2.049
Y 4.177 7.249 6.147
Y 4.177 2.423 6.147
Y 4.177 -2.423 2.049
Ga 4.177 2.421 0.784
Ga 4.177 2.421 3.314
Ga 4.177 -2.421 4.881
Ga 4.177 -2.421 7.412
Co 2.088 3.625 0.000
Co 2.088 3.625 4.098
Co 1.758 2.375 2.049
Co 3.005 4.536 2.049
Co 2.035 1.181 4.305
Co 2.035 1.181 7.988
Co 4.177 4.892 4.308
Co 4.177 4.892 7.985
Co 2.035 -1.181 0.208
Co 2.035 -1.181 3.890
Co 2.930 0.340 2.049
Co 5.348 4.536 2.049
Co 1.758 -2.375 6.147
Co 2.930 -0.340 6.147
Co 2.088 -3.625 0.000
Co 2.088 -3.625 4.098
Co 4.177 0.000 0.000
Co 4.177 0.000 4.098
Co 5.423 0.340 2.049
Co 6.596 2.375 2.049
Co 3.005 -4.536 6.147
Co 5.423 -0.340 6.147
Co 6.318 1.181 4.305
Co 6.318 1.181 7.988
Co 4.177 -4.892 0.211
Co 4.177 -4.892 3.887
Co 6.318 -1.181 0.208
Co 6.318 -1.181 3.890
Co 5.348 -4.536 6.147
Co 6.596 -2.375 6.147
```

Most intense lines, 15° ≤ 2θ ≤ 90°, in order of rising 2θ:
Position (°2θ), Rel. int.
37.24, 41.1
41.40, 63.0
43.27, 76.6
43.51, 100.0
44.21, 38.1
46.99, 16.7
48.91, 59.7
80.85, 22.7

---

No. 6
Y6GaCo2: theoretical powder XRD pattern (CuKα), based on a DFT-relaxed cell (GGA-PBE, the Materials Project).
Lines closer than 0.1° are merged.

Cell and atoms:
```
18
Lattice="-4.679 4.765 4.976 4.679 -4.765 4.976 4.679 4.765 -4.976" Properties=species:S:1:pos:R:3 pbc="T T T"
Y 4.679 2.864 -2.651
Y 2.637 1.742 0.000
Y 6.721 1.742 0.000
Y 1.825 4.765 -1.796
Y 2.854 0.000 3.180
Y 0.000 1.901 2.324
Y 4.679 2.864 2.651
Y 1.825 4.765 1.796
Y 2.854 0.000 6.771
Y -2.042 3.023 4.976
Y 2.042 3.023 4.976
Y 0.000 1.901 7.627
Ga 0.000 0.000 0.000
Ga 0.000 0.000 4.976
Co 4.679 0.000 1.113
Co 0.000 3.550 0.000
Co 0.000 5.979 0.000
Co 0.000 4.765 3.863
```

Most intense lines, 15° ≤ 2θ ≤ 90°, in order of rising 2θ:
Position (°2θ), Rel. int.
30.14, 16.4
32.29, 100.0
34.45, 40.5
34.85, 48.1
35.31, 41.8
35.56, 16.7
38.48, 24.7
60.34, 23.0

---

No. 7
YGa2Co3: theoretical powder XRD pattern (CuKα), based on a DFT-relaxed cell (GGA-PBE, the Materials Project).
Lines closer than 0.1° are merged.

Cell and atoms:
```
18
Lattice="9.030 0.000 0.000 -4.515 7.821 0.000 0.000 0.000 3.820" Properties=species:S:1:pos:R:3 pbc="T T T"
Y 0.000 0.000 0.000
Y 0.000 5.214 1.910
Y 4.515 2.607 1.910
Ga -1.438 2.491 1.910
Ga -3.077 5.330 1.910
Ga 2.876 0.000 1.910
Ga 1.438 2.491 1.910
Ga 6.154 0.000 1.910
Ga 3.077 5.330 1.910
Co -2.258 3.910 0.000
Co 0.000 2.876 0.000
Co -2.025 6.383 0.000
Co 2.491 1.438 0.000
Co 4.515 0.000 0.000
Co 2.258 3.910 0.000
Co 2.025 6.383 0.000
Co 6.540 1.438 0.000
Co 4.515 4.945 0.000
```

Most intense lines, 15° ≤ 2θ ≤ 90°, in order of rising 2θ:
Position (°2θ), Rel. int.
32.77, 21.1
34.40, 42.8
38.51, 39.4
39.93, 35.6
41.96, 100.0
46.74, 55.3
47.61, 35.5
72.52, 20.6